Starting from DFT lattice parameters and positions (PBE), the powder X-ray diffraction pattern of BaIn9Pt2 was computed for a wavelength of 1.5418 Å.

Cell: 9.1858 9.1858 4.3550 Å, 90.00 90.00 120.00°
Atoms (fractional coordinates):
Ba 0.0000 0.0000 0.0000
In 0.0000 0.5000 0.0000
In 0.2054 0.4107 0.5000
In 0.2054 0.7946 0.5000
In 0.4107 0.2054 0.5000
In 0.5000 0.0000 0.0000
In 0.5000 0.5000 0.0000
In 0.5893 0.7946 0.5000
In 0.7946 0.2054 0.5000
In 0.7946 0.5893 0.5000
Pt 0.3333 0.6667 0.0000
Pt 0.6667 0.3333 0.0000

Main lines, sorted by position (5° ≤ 2θ ≤ 70°):
| index | d/Å | intensity |
| --- | --- | --- |
| 1 0 0 | 7.955 | 74.5 |
| 1 1 0 | 4.593 | 28.7 |
| 1 1 1 | 3.160 | 76.9 |
| 2 0 1 | 2.937 | 84.1 |
| 2 1 1 | 2.474 | 100.0 |
| 2 2 0 | 2.296 | 81.1 |
| 3 0 1 | 2.265 | 61.0 |
| 0 0 2 | 2.177 | 42.7 |
| 2 2 1 | 2.031 | 28.6 |
| 2 2 2 | 1.580 | 49.8 |